(1)
Diffraction record for Cu6OF11. The powder diffraction line list is theoretical, not measured: it uses the PBE geometry in the Materials Project and Cu Kα.
No peak broadening, texture or thermal motion is included.

Largest 6 diffraction maxima, sorted by position, 10 to 80 degrees two-theta:
2θ = 26.93°, I = 100
2θ = 27.68°, I = 93
2θ = 31.68°, I = 54
2θ = 33.57°, I = 38
2θ = 33.91°, I = 33
2θ = 35.51°, I = 24

Crystal structure
Unit cell a=3.277 b=4.673 c=13.806 alpha=88.38 beta=89.21 gamma=83.23
Positions (direct):
Cu  0.000  0.000  0.000
Cu  0.001  0.990  0.335
Cu  0.003  0.975  0.674
Cu  0.501  0.494  0.168
Cu  0.505  0.484  0.504
Cu  0.519  0.526  0.825
O  0.023  0.689  0.769
F  0.025  0.699  0.100
F  0.029  0.689  0.437
F  0.453  0.779  0.602
F  0.461  0.794  0.933
F  0.472  0.787  0.267
F  0.530  0.197  0.069
F  0.531  0.195  0.404
F  0.548  0.195  0.737
F  0.965  0.300  0.900
F  0.970  0.272  0.573
F  0.977  0.291  0.235

=====

(2)
Diffraction record for Cu6OF11. The powder diffraction line list is theoretical, not measured: it uses the PBE geometry in the Materials Project and Cu Kα.
No peak broadening, texture or thermal motion is included.

Largest 6 diffraction maxima, sorted by position, 10 to 80 degrees two-theta:
2θ = 27.05°, I = 100
2θ = 27.80°, I = 94
2θ = 31.16°, I = 63
2θ = 33.41°, I = 39
2θ = 33.76°, I = 34
2θ = 48.59°, I = 22

Crystal structure
Unit cell a=4.572 b=4.674 c=9.954 alpha=82.16 beta=89.16 gamma=88.36
Positions (direct):
Cu  0.000  0.000  0.000
Cu  0.005  0.996  0.308
Cu  0.468  0.536  0.159
Cu  0.487  0.510  0.491
Cu  0.493  0.509  0.828
Cu  0.986  0.013  0.658
O  0.174  0.814  0.154
F  0.192  0.804  0.811
F  0.192  0.807  0.475
F  0.277  0.313  0.309
F  0.281  0.304  0.643
F  0.283  0.302  0.976
F  0.684  0.723  0.009
F  0.692  0.720  0.343
F  0.694  0.719  0.675
F  0.763  0.234  0.172
F  0.785  0.214  0.502
F  0.791  0.211  0.845

=====

(3)
Diffraction record for Cu6OF11. The powder diffraction line list is theoretical, not measured: it uses the PBE geometry in the Materials Project and Cu Kα.
No peak broadening, texture or thermal motion is included.

Largest 6 diffraction maxima, sorted by position, 10 to 80 degrees two-theta:
2θ = 27.01°, I = 100
2θ = 27.74°, I = 93
2θ = 31.51°, I = 59
2θ = 33.46°, I = 39
2θ = 33.85°, I = 34
2θ = 35.47°, I = 23

Crystal structure
Unit cell a=3.296 b=6.635 c=10.177 alpha=108.05 beta=92.41 gamma=95.52
Positions (direct):
Cu  0.000  0.000  0.000
Cu  0.000  0.335  0.671
Cu  0.015  0.657  0.313
Cu  0.497  0.832  0.664
Cu  0.498  0.167  0.334
Cu  0.504  0.506  0.012
O  0.524  0.599  0.200
F  0.038  0.627  0.667
F  0.042  0.962  0.332
F  0.050  0.295  0.001
F  0.456  0.734  0.466
F  0.463  0.406  0.811
F  0.464  0.067  0.135
F  0.533  0.932  0.864
F  0.538  0.266  0.533
F  0.952  0.706  0.002
F  0.953  0.370  0.333
F  0.959  0.040  0.668

=====

(4)
Diffraction record for RbCu3P3O8F6. The powder diffraction line list is theoretical, not measured: it uses the PBE geometry in the Materials Project and Cu Kα.
No peak broadening, texture or thermal motion is included.

Largest 6 diffraction maxima, sorted by position, 10 to 80 degrees two-theta:
2θ = 17.05°, I = 37
2θ = 19.39°, I = 41
2θ = 23.54°, I = 38
2θ = 26.41°, I = 100
2θ = 28.53°, I = 68
2θ = 32.10°, I = 55

Crystal structure
Unit cell a=11.316 b=11.316 c=7.686 alpha=99.61 beta=99.61 gamma=40.40
Positions (direct):
Rb  0.153  0.847  0.750
Rb  0.847  0.153  0.250
Cu  0.000  0.500  0.000
Cu  0.335  0.387  0.722
Cu  0.387  0.335  0.222
Cu  0.500  0.000  0.500
Cu  0.613  0.665  0.778
Cu  0.665  0.613  0.278
P  0.018  0.648  0.403
P  0.344  0.656  0.250
P  0.352  0.982  0.097
P  0.648  0.018  0.903
P  0.656  0.344  0.750
P  0.982  0.352  0.597
O  0.102  0.517  0.241
O  0.127  0.598  0.572
O  0.207  0.741  0.090
O  0.259  0.793  0.410
O  0.402  0.873  0.928
O  0.411  0.482  0.298
O  0.482  0.411  0.798
O  0.483  0.898  0.259
O  0.517  0.102  0.741
O  0.518  0.589  0.202
O  0.589  0.518  0.702
O  0.598  0.127  0.072
O  0.741  0.207  0.590
O  0.793  0.259  0.910
O  0.873  0.402  0.428
O  0.898  0.483  0.759
F  0.083  0.163  0.645
F  0.155  0.296  0.565
F  0.163  0.083  0.145
F  0.181  0.448  0.903
F  0.296  0.155  0.065
F  0.448  0.181  0.403
F  0.552  0.819  0.597
F  0.704  0.845  0.935
F  0.819  0.552  0.097
F  0.837  0.917  0.855
F  0.845  0.704  0.435
F  0.917  0.837  0.355

=====

(5)
Diffraction record for CuPb2O2F2. The powder diffraction line list is theoretical, not measured: it uses the PBE geometry in the Materials Project and Cu Kα.
No peak broadening, texture or thermal motion is included.

Largest 6 diffraction maxima, sorted by position, 10 to 80 degrees two-theta:
2θ = 23.00°, I = 49
2θ = 29.72°, I = 100
2θ = 31.36°, I = 45
2θ = 41.42°, I = 43
2θ = 44.94°, I = 31
2θ = 54.80°, I = 37

Crystal structure
Unit cell a=7.338 b=7.338 c=7.338 alpha=148.09 beta=148.09 gamma=45.76
Positions (direct):
Cu  0.000  0.000  0.000
Pb  0.367  0.367  0.000
Pb  0.633  0.633  0.000
O  0.000  0.500  0.500
O  0.500  0.000  0.500
F  0.250  0.750  0.500
F  0.750  0.250  0.500

=====

(6)
Diffraction record for CuPb2O2F2. The powder diffraction line list is theoretical, not measured: it uses the PBE geometry in the Materials Project and Cu Kα.
No peak broadening, texture or thermal motion is included.

Largest 6 diffraction maxima, sorted by position, 10 to 80 degrees two-theta:
2θ = 12.08°, I = 14
2θ = 28.68°, I = 100
2θ = 31.33°, I = 28
2θ = 44.89°, I = 20
2θ = 49.08°, I = 24
2θ = 54.15°, I = 35

Crystal structure
Unit cell a=7.864 b=7.864 c=7.864 alpha=150.25 beta=150.25 gamma=42.58
Positions (direct):
Cu  0.000  0.000  0.000
Pb  0.332  0.332  0.000
Pb  0.668  0.668  0.000
O  0.250  0.750  0.500
O  0.750  0.250  0.500
F  0.000  0.500  0.500
F  0.500  0.000  0.500

=====

(7)
Diffraction record for CuSiO4F6. The powder diffraction line list is theoretical, not measured: it uses the PBE geometry in the Materials Project and Cu Kα.
No peak broadening, texture or thermal motion is included.

Largest 6 diffraction maxima, sorted by position, 10 to 80 degrees two-theta:
2θ = 20.32°, I = 57
2θ = 23.01°, I = 93
2θ = 25.43°, I = 100
2θ = 26.73°, I = 29
2θ = 37.26°, I = 40
2θ = 47.77°, I = 24

Crystal structure
Unit cell a=5.126 b=8.739 c=6.721 alpha=90.00 beta=97.08 gamma=90.00
Positions (direct):
Cu  0.000  0.000  0.000
Cu  0.000  0.500  0.500
Si  0.500  0.000  0.500
Si  0.500  0.500  0.000
O  0.120  0.161  0.874
O  0.120  0.339  0.374
O  0.247  0.623  0.416
O  0.247  0.877  0.916
O  0.753  0.123  0.084
O  0.753  0.377  0.584
O  0.880  0.661  0.626
O  0.880  0.839  0.126
F  0.252  0.623  0.057
F  0.252  0.877  0.557
F  0.309  0.051  0.286
F  0.309  0.449  0.786
F  0.368  0.145  0.627
F  0.368  0.355  0.127
F  0.632  0.645  0.873
F  0.632  0.855  0.373
F  0.691  0.551  0.214
F  0.691  0.949  0.714
F  0.748  0.123  0.443
F  0.748  0.377  0.943

=====

(8)
Diffraction record for CuSnO4F6. The powder diffraction line list is theoretical, not measured: it uses the PBE geometry in the Materials Project and Cu Kα.
No peak broadening, texture or thermal motion is included.

Largest 6 diffraction maxima, sorted by position, 10 to 80 degrees two-theta:
2θ = 20.00°, I = 48
2θ = 21.83°, I = 100
2θ = 24.18°, I = 89
2θ = 25.16°, I = 31
2θ = 36.13°, I = 42
2θ = 45.06°, I = 25

Crystal structure
Unit cell a=5.433 b=8.880 c=7.137 alpha=90.00 beta=97.39 gamma=90.00
Positions (direct):
Cu  0.000  0.000  0.000
Cu  0.000  0.500  0.500
Sn  0.500  0.000  0.500
Sn  0.500  0.500  0.000
O  0.131  0.156  0.887
O  0.131  0.344  0.387
O  0.228  0.626  0.426
O  0.228  0.874  0.926
O  0.772  0.126  0.074
O  0.772  0.374  0.574
O  0.869  0.656  0.613
O  0.869  0.844  0.113
F  0.240  0.648  0.070
F  0.240  0.852  0.570
F  0.272  0.048  0.268
F  0.272  0.452  0.768
F  0.350  0.159  0.647
F  0.350  0.341  0.147
F  0.650  0.659  0.853
F  0.650  0.841  0.353
F  0.728  0.548  0.232
F  0.728  0.952  0.732
F  0.760  0.148  0.430
F  0.760  0.352  0.930